Structure and computed XRD peak list of Al2GaBr6 (a DFT-relaxed cell (GGA-PBE, Alexandria); copper Kα).

Main lines, by angle (2θ = 5–70°):
two_theta	intensity
13.4	42.6
19.4	51.2
20.9	35.2
25.3	100.0
26.5	36.9
27.0	96.6
27.8	88.9
31.8	56.7
44.9	42.2
46.9	36.4

Cell and atoms:
Unit cell a=9.7999 b=9.7999 c=8.2906 alpha=105.31 beta=105.31 gamma=85.13
Sites, in units of the cell vectors:
Al (0.1228, 0.2931, 0.2367)
Al (0.2931, 0.1228, 0.7367)
Al (0.7069, 0.8772, 0.2633)
Al (0.8772, 0.7069, 0.7633)
Ga (0.3831, 0.6169, 0.7500)
Ga (0.6169, 0.3831, 0.2500)
Br (0.0900, 0.5747, 0.8017)
Br (0.1417, 0.1495, 0.4510)
Br (0.1495, 0.1417, 0.9510)
Br (0.3095, 0.4566, 0.3442)
Br (0.4253, 0.9100, 0.6983)
Br (0.4566, 0.3095, 0.8442)
Br (0.5434, 0.6905, 0.1558)
Br (0.5747, 0.0900, 0.3017)
Br (0.6905, 0.5434, 0.6558)
Br (0.8505, 0.8583, 0.0490)
Br (0.8583, 0.8505, 0.5490)
Br (0.9100, 0.4253, 0.1983)